This entry pairs a crystal structure of Pr2NdYTm5 with its simulated XRD peak list. Radiation: λ = 1.5418 Å (Cu Kα). Structure: a cell relaxed with GGA-PBE.
Intensities are scaled so that the largest is 1000.

Structure:
Cell lengths 9.912, 9.912, 9.912 Å; angles 128.50, 128.50, 75.82 degrees
Sites, in units of the cell vectors:
Pr (0.119, 0.619, 0.737)
Pr (0.381, 0.119, 0.500)
Pr (0.619, 0.881, 0.500)
Pr (0.881, 0.381, 0.263)
Nd (0.250, 0.750, 0.500)
Nd (0.750, 0.250, 0.500)
Y (0.250, 0.250, 0.000)
Y (0.750, 0.750, 0.000)
Tm (0.000, 0.000, 0.000)
Tm (0.071, 0.150, 0.500)
Tm (0.150, 0.650, 0.079)
Tm (0.350, 0.429, 0.500)
Tm (0.429, 0.929, 0.079)
Tm (0.500, 0.500, 0.000)
Tm (0.571, 0.071, 0.921)
Tm (0.650, 0.571, 0.500)
Tm (0.850, 0.350, 0.921)
Tm (0.929, 0.850, 0.500)

The 12 most intense peaks (10° ≤ 2θ ≤ 90°), sorted by position:
2theta	Rel. int.
28.82	539
29.33	513
30.89	1000
32.88	112
34.88	166
38.11	166
43.72	117
46.44	119
46.85	133
48.32	118
53.00	215
55.88	122

This entry pairs a crystal structure of Pr5NdY6 with its simulated XRD peak list. Radiation: λ = 1.5418 Å (Cu Kα). Structure: a cell relaxed with GGA-PBE.
Intensities are scaled so that the largest is 1000.

Structure:
Cell lengths 6.325, 6.325, 11.925 Å; angles 95.06, 95.06, 120.00 degrees
Sites, in units of the cell vectors:
Pr (0.000, 0.000, 0.000)
Pr (0.167, 0.833, 0.500)
Pr (0.333, 0.667, 0.000)
Pr (0.667, 0.333, 0.000)
Pr (0.833, 0.167, 0.500)
Nd (0.500, 0.500, 0.500)
Y (0.084, 0.417, 0.250)
Y (0.250, 0.250, 0.750)
Y (0.417, 0.084, 0.250)
Y (0.583, 0.916, 0.750)
Y (0.750, 0.750, 0.250)
Y (0.916, 0.583, 0.750)

The 12 most intense peaks (10° ≤ 2θ ≤ 90°), sorted by position:
2theta	Rel. int.
30.02	1000
30.46	321
34.93	665
49.95	239
50.52	231
59.38	141
59.64	278
60.15	136
62.40	121
81.21	113
83.87	105
84.76	103

This entry pairs a crystal structure of Pr5Nd2Y2 with its simulated XRD peak list. Radiation: λ = 1.5418 Å (Cu Kα). Structure: a cell relaxed with GGA-PBE.
Intensities are scaled so that the largest is 1000.

Structure:
Cell lengths 5.204, 6.377, 11.021 Å; angles 95.55, 103.66, 114.08 degrees
Sites, in units of the cell vectors:
Pr (0.000, 0.000, 0.000)
Pr (0.111, 0.778, 0.445)
Pr (0.223, 0.556, 0.889)
Pr (0.777, 0.444, 0.111)
Pr (0.889, 0.222, 0.555)
Nd (0.332, 0.334, 0.332)
Nd (0.668, 0.666, 0.668)
Y (0.445, 0.111, 0.777)
Y (0.555, 0.889, 0.223)

The 12 most intense peaks (10° ≤ 2θ ≤ 90°), sorted by position:
2theta	Rel. int.
29.75	1000
34.48	506
49.52	61
49.57	301
58.86	358
58.96	71
61.76	93
72.67	38
80.44	116
80.56	58
82.99	94
83.11	53

This entry pairs a crystal structure of Pr9Nd3Y2 with its simulated XRD peak list. Radiation: λ = 1.5418 Å (Cu Kα). Structure: a cell relaxed with GGA-PBE.
Intensities are scaled so that the largest is 1000.

Structure:
Cell lengths 9.195, 9.195, 14.204 Å; angles 90.00, 90.00, 120.00 degrees
Sites, in units of the cell vectors:
Pr (0.080, 0.480, 0.250)
Pr (0.132, 0.725, 0.043)
Pr (0.132, 0.725, 0.457)
Pr (0.275, 0.406, 0.043)
Pr (0.275, 0.406, 0.457)
Pr (0.400, 0.920, 0.250)
Pr (0.406, 0.132, 0.543)
Pr (0.406, 0.132, 0.957)
Pr (0.480, 0.400, 0.750)
Pr (0.520, 0.600, 0.250)
Pr (0.594, 0.868, 0.043)
Pr (0.594, 0.868, 0.457)
Pr (0.600, 0.080, 0.750)
Pr (0.725, 0.594, 0.543)
Pr (0.725, 0.594, 0.957)
Pr (0.868, 0.275, 0.543)
Pr (0.868, 0.275, 0.957)
Pr (0.920, 0.520, 0.750)
Nd (0.082, 0.250, 0.750)
Nd (0.168, 0.918, 0.750)
Nd (0.250, 0.168, 0.250)
Nd (0.750, 0.832, 0.750)
Nd (0.832, 0.082, 0.250)
Nd (0.918, 0.750, 0.250)
Y (0.333, 0.667, 0.642)
Y (0.333, 0.667, 0.858)
Y (0.667, 0.333, 0.142)
Y (0.667, 0.333, 0.358)

The 12 most intense peaks (10° ≤ 2θ ≤ 90°), sorted by position:
2theta	Rel. int.
25.08	298
27.03	141
29.31	394
30.36	664
31.84	150
32.30	1000
33.49	217
35.34	272
52.48	180
52.67	288
59.19	171
89.01	151

This entry pairs a crystal structure of Pr3Nd8Y3 with its simulated XRD peak list. Radiation: λ = 1.5418 Å (Cu Kα). Structure: a cell relaxed with GGA-PBE.
Intensities are scaled so that the largest is 1000.

Structure:
Cell lengths 9.936, 9.936, 9.936 Å; angles 146.35, 112.80, 77.30 degrees
Sites, in units of the cell vectors:
Pr (0.000, 0.000, 0.000)
Pr (0.307, 0.000, 0.307)
Pr (0.693, 0.000, 0.693)
Nd (0.059, 0.396, 0.663)
Nd (0.067, 0.225, 0.842)
Nd (0.267, 0.604, 0.663)
Nd (0.382, 0.225, 0.158)
Nd (0.618, 0.775, 0.842)
Nd (0.733, 0.396, 0.337)
Nd (0.933, 0.775, 0.158)
Nd (0.941, 0.604, 0.337)
Y (0.317, 0.817, 0.500)
Y (0.500, 0.500, 0.000)
Y (0.683, 0.183, 0.500)

The 12 most intense peaks (10° ≤ 2θ ≤ 90°), sorted by position:
2theta	Rel. int.
28.92	235
29.87	217
31.13	1000
32.78	386
36.71	87
43.66	155
49.74	77
55.36	132
56.41	80
58.26	58
59.84	94
60.86	115

This entry pairs a crystal structure of Pr6Nd5Y with its simulated XRD peak list. Radiation: λ = 1.5418 Å (Cu Kα). Structure: a cell relaxed with GGA-PBE.
Intensities are scaled so that the largest is 1000.

Structure:
Cell lengths 6.401, 6.401, 12.226 Å; angles 95.03, 95.03, 120.00 degrees
Sites, in units of the cell vectors:
Pr (0.083, 0.415, 0.249)
Pr (0.250, 0.250, 0.751)
Pr (0.415, 0.083, 0.249)
Pr (0.585, 0.917, 0.751)
Pr (0.750, 0.750, 0.249)
Pr (0.917, 0.585, 0.751)
Nd (0.166, 0.834, 0.500)
Nd (0.333, 0.667, 0.000)
Nd (0.500, 0.500, 0.500)
Nd (0.667, 0.333, 0.000)
Nd (0.834, 0.166, 0.500)
Y (0.000, 0.000, 0.000)

The 12 most intense peaks (10° ≤ 2θ ≤ 90°), sorted by position:
2theta	Rel. int.
29.61	1000
29.69	331
34.35	674
49.34	323
49.43	161
58.61	433
58.71	143
61.48	125
72.39	77
80.03	117
82.55	72
82.63	72

This entry pairs a crystal structure of PrNd2Y8 with its simulated XRD peak list. Radiation: λ = 1.5418 Å (Cu Kα). Structure: a cell relaxed with GGA-PBE.
Intensities are scaled so that the largest is 1000.

Structure:
Cell lengths 10.231, 10.231, 5.622 Å; angles 92.77, 92.77, 40.50 degrees
Sites, in units of the cell vectors:
Pr (0.000, 0.000, 0.000)
Nd (0.285, 0.285, 0.750)
Nd (0.715, 0.715, 0.250)
Y (0.135, 0.603, 0.269)
Y (0.187, 0.187, 0.233)
Y (0.397, 0.865, 0.731)
Y (0.453, 0.453, 0.763)
Y (0.547, 0.547, 0.237)
Y (0.603, 0.135, 0.269)
Y (0.813, 0.813, 0.767)
Y (0.865, 0.397, 0.731)

The 12 most intense peaks (10° ≤ 2θ ≤ 90°), sorted by position:
2theta	Rel. int.
20.90	188
25.15	149
31.04	645
31.45	1000
31.55	567
31.88	312
32.96	241
35.13	115
51.62	136
55.55	126
58.08	143
61.74	135

This entry pairs a crystal structure of Pr3Nd4Y2 with its simulated XRD peak list. Radiation: λ = 1.5418 Å (Cu Kα). Structure: a cell relaxed with GGA-PBE.
Intensities are scaled so that the largest is 1000.

Structure:
Cell lengths 3.666, 3.666, 27.358 Å; angles 90.00, 90.00, 120.00 degrees
Sites, in units of the cell vectors:
Pr (0.000, 0.000, 0.000)
Pr (0.000, 0.000, 0.337)
Pr (0.667, 0.333, 0.672)
Nd (0.000, 0.000, 0.560)
Nd (0.000, 0.000, 0.784)
Nd (0.667, 0.333, 0.229)
Nd (0.667, 0.333, 0.451)
Y (0.667, 0.333, 0.105)
Y (0.667, 0.333, 0.890)

The 12 most intense peaks (10° ≤ 2θ ≤ 90°), sorted by position:
2theta	Rel. int.
28.10	486
29.38	552
31.05	855
32.61	1000
41.11	333
49.74	399
52.14	145
55.19	273
58.83	461
60.75	173
82.25	140
82.43	155